Entry 1:
Computed powder XRD pattern
Compound: CaAl2Si2O10
Radiation: copper Kα
Structure: a crystal structure in the Materials Project, relaxed with PBE

abc: 5.301 13.015 5.362
angles: 90.00 113.31 90.00
Space group P2_1/m (No. 11)
Unique sites:
Ca 0.157 0.250 0.341
Al 0.000 0.000 0.000
Al 0.500 0.000 0.500
Si 0.493 0.630 0.031
O 0.150 0.563 0.348
O 0.158 0.617 0.904
O 0.203 0.750 0.470
O 0.358 0.066 0.137
O 0.371 0.111 0.641
O 0.432 0.250 0.023

Peak list (10 most intense, 2θ = 15–90°, by intensity)
hkl 1 4 -1, d = 2.627 Å, 2θ 34.1, I 1000
hkl 1 2 -1, d = 3.675 Å, 2θ 24.2, I 932
hkl 0 4 1, d = 2.715 Å, 2θ 33.0, I 642
hkl 0 3 2, d = 2.141 Å, 2θ 42.2, I 617
hkl 2 3 0, d = 2.123 Å, 2θ 42.6, I 603
hkl 1 2 1, d = 2.672 Å, 2θ 33.5, I 602
hkl 0 0 2, d = 2.463 Å, 2θ 36.5, I 599
hkl 2 0 -1, d = 2.635 Å, 2θ 34.0, I 576
hkl 1 0 0, d = 4.868 Å, 2θ 18.2, I 570
hkl 3 4 -1, d = 1.550 Å, 2θ 59.7, I 516

***

Entry 2:
Computed powder XRD pattern
Compound: ScFe2
Radiation: copper Kα
Structure: a crystal structure in the Materials Project, relaxed with PBE

abc: 4.9306 4.9306 16.0890
angles: 90.00 90.00 120.00
Space group P6_3/mmc (No. 194)
Unique sites:
Sc 0.0000 0.0000 0.0939
Sc 0.3333 0.6667 0.1561
Fe 0.0000 0.5000 0.0000
Fe 0.1658 0.3315 0.7500
Fe 0.3333 0.6667 0.6244

Peak list (10 most intense, 2θ = 15–90°, by intensity)
hkl 1 1 4, d = 2.102 Å, 2θ 43.0, I 1000
hkl 2 0 2, d = 2.064 Å, 2θ 43.9, I 719
hkl 1 0 6, d = 2.271 Å, 2θ 39.7, I 436
hkl 2 0 3, d = 1.984 Å, 2θ 45.7, I 283
hkl 0 0 8, d = 2.011 Å, 2θ 45.1, I 247
hkl 2 2 0, d = 1.233 Å, 2θ 77.4, I 242
hkl 3 0 4, d = 1.342 Å, 2θ 70.1, I 237
hkl 2 0 10, d = 1.285 Å, 2θ 73.7, I 199
hkl 1 1 0, d = 2.465 Å, 2θ 36.4, I 199
hkl 1 0 7, d = 2.024 Å, 2θ 44.8, I 188